1.
Starting from a crystal structure in Alexandria, relaxed with PBE, the XRD peak list of Sr2GaGe3Au4 was computed for Cu Kα (λ = 1.5418 Å).

Crystal structure
Lattice parameters (Å, degrees): 4.493 4.493 10.980 90.00 90.00 90.00
Atoms (fractional coordinates):
1 Sr 0.000 0.500 0.245
2 Sr 0.500 0.000 0.755
3 Ga 0.000 0.000 0.500
4 Ge 0.000 0.500 0.868
5 Ge 0.500 0.000 0.132
6 Ge 0.500 0.500 0.500
7 Au 0.000 0.000 0.000
8 Au 0.000 0.500 0.632
9 Au 0.500 0.000 0.368
10 Au 0.500 0.500 0.000

Peak list (8 most intense, 10 to 90 degrees two-theta, by angle)
29.27°, I = 356
31.53°, I = 463
32.57°, I = 1000
40.14°, I = 757
43.57°, I = 696
45.98°, I = 327
58.07°, I = 257
75.32°, I = 250

---

2.
Starting from a crystal structure in Alexandria, relaxed with PBE, the XRD peak list of TbMn4B4 was computed for Cu Kα (λ = 1.5418 Å).

Crystal structure
Lattice parameters (Å, degrees): 7.035 7.035 3.923 90.00 90.00 90.00
Atoms (fractional coordinates):
1 Tb 0.250 0.250 0.250
2 Tb 0.750 0.750 0.750
3 Mn 0.121 0.633 0.132
4 Mn 0.133 0.879 0.632
5 Mn 0.367 0.621 0.632
6 Mn 0.379 0.867 0.132
7 Mn 0.621 0.133 0.868
8 Mn 0.633 0.379 0.368
9 Mn 0.867 0.121 0.368
10 Mn 0.879 0.367 0.868
11 B 0.057 0.921 0.136
12 B 0.079 0.557 0.636
13 B 0.421 0.943 0.636
14 B 0.443 0.579 0.136
15 B 0.557 0.421 0.864
16 B 0.579 0.057 0.364
17 B 0.921 0.443 0.364
18 B 0.943 0.079 0.864

Peak list (8 most intense, 10 to 90 degrees two-theta, by angle)
25.32°, I = 330
26.00°, I = 738
36.11°, I = 197
36.61°, I = 1000
40.55°, I = 763
52.37°, I = 339
59.03°, I = 173
71.19°, I = 174

---

3.
Starting from a crystal structure in Alexandria, relaxed with PBE, the XRD peak list of Ga3IBr3 was computed for Cu Kα (λ = 1.5418 Å).

Crystal structure
Lattice parameters (Å, degrees): 7.659 7.708 9.489 95.72 97.42 97.64
Atoms (fractional coordinates):
1 Ga 0.095 0.029 0.235
2 Ga 0.228 0.946 0.702
3 Ga 0.298 0.445 0.968
4 Ga 0.702 0.555 0.032
5 Ga 0.772 0.054 0.298
6 Ga 0.905 0.971 0.765
7 I 0.448 0.176 0.205
8 I 0.552 0.824 0.795
9 Br 0.042 0.758 0.037
10 Br 0.191 0.828 0.439
11 Br 0.347 0.269 0.708
12 Br 0.653 0.731 0.292
13 Br 0.809 0.172 0.561
14 Br 0.958 0.242 0.963

Peak list (8 most intense, 10 to 90 degrees two-theta, by angle)
11.67°, I = 1000
17.87°, I = 396
23.52°, I = 734
24.24°, I = 553
24.74°, I = 491
28.02°, I = 669
30.65°, I = 524
38.38°, I = 429

---

4.
Starting from a crystal structure in Alexandria, relaxed with PBE, the XRD peak list of K2AcDyS4 was computed for Cu Kα (λ = 1.5418 Å).

Crystal structure
Lattice parameters (Å, degrees): 7.362 4.242 7.797 90.00 108.25 90.00
Atoms (fractional coordinates):
1 K 0.000 0.000 0.000
2 K 0.500 0.500 0.000
3 Ac 0.000 0.500 0.500
4 Dy 0.500 0.000 0.500
5 S 0.256 0.000 0.711
6 S 0.281 0.500 0.297
7 S 0.719 0.500 0.703
8 S 0.744 0.000 0.289

Peak list (8 most intense, 10 to 90 degrees two-theta, by angle)
11.95°, I = 822
24.54°, I = 351
25.52°, I = 431
29.13°, I = 1000
37.43°, I = 210
40.72°, I = 361
42.56°, I = 234
44.39°, I = 209

---

5.
Starting from a crystal structure in Alexandria, relaxed with PBE, the XRD peak list of Tc5Os was computed for Cu Kα (λ = 1.5418 Å).

Crystal structure
Lattice parameters (Å, degrees): 5.106 5.106 5.106 130.00 115.44 85.85
Atoms (fractional coordinates):
1 Tc 0.000 0.000 0.000
2 Tc 0.083 0.334 0.749
3 Tc 0.416 0.666 0.749
4 Tc 0.584 0.334 0.251
5 Tc 0.917 0.666 0.251
6 Os 0.500 0.000 0.500

Peak list (8 most intense, 10 to 90 degrees two-theta, by angle)
23.80°, I = 60
40.97°, I = 1000
41.86°, I = 937
60.01°, I = 322
68.87°, I = 70
75.84°, I = 320
76.45°, I = 103
83.96°, I = 244

---

6.
Starting from a crystal structure in Alexandria, relaxed with PBE, the XRD peak list of CeSm12Er7 was computed for Cu Kα (λ = 1.5418 Å).

Crystal structure
Lattice parameters (Å, degrees): 11.453 11.453 11.453 116.91 116.91 116.91
Atoms (fractional coordinates):
1 Ce 0.000 0.000 0.000
2 Sm 0.068 0.423 0.423
3 Sm 0.086 0.913 0.499
4 Sm 0.087 0.501 0.914
5 Sm 0.423 0.068 0.423
6 Sm 0.423 0.423 0.068
7 Sm 0.499 0.086 0.913
8 Sm 0.501 0.914 0.087
9 Sm 0.577 0.577 0.932
10 Sm 0.577 0.932 0.577
11 Sm 0.913 0.499 0.086
12 Sm 0.914 0.087 0.501
13 Sm 0.932 0.577 0.577
14 Er 0.120 0.121 0.362
15 Er 0.121 0.362 0.120
16 Er 0.362 0.120 0.121
17 Er 0.500 0.500 0.500
18 Er 0.638 0.880 0.879
19 Er 0.879 0.638 0.880
20 Er 0.880 0.879 0.638

Peak list (8 most intense, 10 to 90 degrees two-theta, by angle)
27.41°, I = 372
30.21°, I = 1000
31.15°, I = 416
32.94°, I = 450
33.09°, I = 416
39.78°, I = 358
40.15°, I = 273
56.55°, I = 261

---

7.
Starting from a crystal structure in Alexandria, relaxed with PBE, the XRD peak list of Nd4HgSb3 was computed for Cu Kα (λ = 1.5418 Å).

Crystal structure
Lattice parameters (Å, degrees): 7.868 9.052 7.767 90.00 109.78 90.00
Atoms (fractional coordinates):
1 Nd 0.236 0.134 0.002
2 Nd 0.236 0.866 0.502
3 Nd 0.248 0.380 0.494
4 Nd 0.248 0.620 0.994
5 Nd 0.752 0.380 0.006
6 Nd 0.752 0.620 0.506
7 Nd 0.764 0.134 0.498
8 Nd 0.764 0.866 0.998
9 Hg 0.500 0.116 0.750
10 Hg 0.500 0.884 0.250
11 Sb 0.000 0.123 0.250
12 Sb 0.000 0.377 0.750
13 Sb 0.000 0.623 0.250
14 Sb 0.000 0.877 0.750
15 Sb 0.500 0.375 0.250
16 Sb 0.500 0.625 0.750

Peak list (8 most intense, 10 to 90 degrees two-theta, by angle)
27.95°, I = 1000
39.72°, I = 257
39.84°, I = 127
40.12°, I = 380
49.34°, I = 136
57.81°, I = 84
65.60°, I = 116
72.29°, I = 84

---

8.
Starting from a crystal structure in Alexandria, relaxed with PBE, the XRD peak list of Na3LiNp3Te8 was computed for Cu Kα (λ = 1.5418 Å).

Crystal structure
Lattice parameters (Å, degrees): 8.820 8.820 9.041 119.09 119.09 59.99
Atoms (fractional coordinates):
1 Na 0.000 0.000 0.000
2 Na 0.000 0.500 0.000
3 Na 0.500 0.000 0.000
4 Li 0.000 0.000 0.500
5 Np 0.000 0.500 0.500
6 Np 0.500 0.000 0.500
7 Np 0.500 0.500 0.500
8 Te 0.245 0.735 0.726
9 Te 0.247 0.247 0.726
10 Te 0.254 0.254 0.262
11 Te 0.265 0.755 0.274
12 Te 0.735 0.245 0.726
13 Te 0.746 0.746 0.738
14 Te 0.753 0.753 0.274
15 Te 0.755 0.265 0.274

Peak list (8 most intense, 10 to 90 degrees two-theta, by angle)
11.83°, I = 450
23.63°, I = 168
28.27°, I = 1000
36.59°, I = 141
39.87°, I = 378
40.93°, I = 376
50.49°, I = 201
66.94°, I = 171